(1)
The following is a calculated X-ray diffraction stick pattern of AcPmThIr2. It was derived from a structure optimized by DFT (PBE), using Cu Kα (λ = 1.5418 Å).

Principal peaks in the range 2θ = 5–70°, sorted by position:
- 26.70 deg, rel. 60.8, (3 1 -1)
- 30.40 deg, rel. 60.6, (3 1 0)
- 34.02 deg, rel. 50.7, (2 0 -4)
- 36.01 deg, rel. 100.0, (5 1 -3)
- 36.96 deg, rel. 90.8, (3 1 1)
- 39.62 deg, rel. 59.8, (0 2 0)

Structure:
abc: 15.247 4.549 11.249
angles: 90.00 130.68 90.00
Space group C2/m (No. 12)
One atom of each set of equivalent atoms:
Ac (0.041, 0.000, 0.221) [4 per cell]
Pm (0.243, 0.500, 0.125) [4 per cell]
Th (0.136, 0.500, 0.550) [4 per cell]
Ir (0.099, 0.500, 0.770) [4 per cell]
Ir (0.231, 0.500, 0.383) [4 per cell]

---

(2)
The following is a calculated X-ray diffraction stick pattern of AcPrIr2. It was derived from a structure optimized by DFT (PBE), using Cu Kα (λ = 1.5418 Å).

Principal peaks in the range 2θ = 5–70°, sorted by position:
- 30.86 deg, rel. 100.0, (1 1 1)
- 32.06 deg, rel. 31.9, (0 1 3)
- 38.21 deg, rel. 37.3, (1 0 4)
- 38.43 deg, rel. 74.5, (1 1 3)
- 41.97 deg, rel. 28.4, (2 0 0)
- 61.85 deg, rel. 36.4, (2 2 0)

Structure:
abc: 4.305 4.179 11.255
angles: 90.00 90.00 90.00
Space group Amm2 (No. 38)
One atom of each set of equivalent atoms:
Ac (0.000, 0.000, 0.000) [2 per cell]
Pr (0.500, 0.000, 0.286) [2 per cell]
Ir (0.000, 0.000, 0.722) [2 per cell]
Ir (0.500, 0.000, 0.571) [2 per cell]

---

(3)
The following is a calculated X-ray diffraction stick pattern of AcPr4Ir3. It was derived from a structure optimized by DFT (PBE), using Cu Kα (λ = 1.5418 Å).

Principal peaks in the range 2θ = 5–70°, sorted by position:
- 27.60 deg, rel. 78.7, (2 2 -1)
- 28.08 deg, rel. 82.0, (1 1 -3)
- 28.24 deg, rel. 81.6, (3 1 1)
- 36.25 deg, rel. 86.4, (4 2 -2)
- 36.82 deg, rel. 73.8, (5 1 0)
- 42.78 deg, rel. 100.0, (1 3 2)

Structure:
abc: 13.961 7.386 10.650
angles: 90.00 112.12 90.00
Space group Cc (No. 9)
One atom of each set of equivalent atoms:
Ac (0.000, 0.179, 0.000) [4 per cell]
Pr (0.109, 0.321, 0.699) [4 per cell]
Pr (0.212, 0.163, 0.391) [4 per cell]
Pr (0.302, 0.333, 0.098) [4 per cell]
Pr (0.396, 0.165, 0.813) [4 per cell]
Ir (0.202, 0.000, 0.136) [4 per cell]
Ir (0.301, 0.499, 0.348) [4 per cell]
Ir (0.408, 0.006, 0.070) [4 per cell]

---

(4)
The following is a calculated X-ray diffraction stick pattern of Ac4PrIr3. It was derived from a structure optimized by DFT (PBE), using Cu Kα (λ = 1.5418 Å).

Principal peaks in the range 2θ = 5–70°, sorted by position:
- 26.91 deg, rel. 64.1, (2 2 -1)
- 27.22 deg, rel. 70.0, (1 1 -3)
- 27.73 deg, rel. 64.2, (3 1 1)
- 35.29 deg, rel. 100.0, (4 2 -2)
- 36.11 deg, rel. 45.1, (5 1 0)
- 41.78 deg, rel. 67.5, (1 3 2)

Structure:
abc: 14.306 7.557 11.018
angles: 90.00 112.98 90.00
Space group Cc (No. 9)
One atom of each set of equivalent atoms:
Ac (0.000, 0.164, 0.000) [4 per cell]
Ac (0.092, 0.326, 0.705) [4 per cell]
Ac (0.188, 0.165, 0.416) [4 per cell]
Ac (0.289, 0.327, 0.106) [4 per cell]
Pr (0.400, 0.174, 0.806) [4 per cell]
Ir (0.091, 0.500, 0.454) [4 per cell]
Ir (0.204, 0.000, 0.174) [4 per cell]
Ir (0.485, 0.494, 0.744) [4 per cell]

---

(5)
The following is a calculated X-ray diffraction stick pattern of Ac3PrIr3. It was derived from a structure optimized by DFT (PBE), using Cu Kα (λ = 1.5418 Å).

Principal peaks in the range 2θ = 5–70°, sorted by position:
- 17.15 deg, rel. 21.1, (1 1 0)
- 29.92 deg, rel. 35.3, (3 0 0)
- 34.53 deg, rel. 100.0, (2 0 2)
- 34.72 deg, rel. 94.7, (2 2 0)
- 49.77 deg, rel. 29.4, (0 4 2)
- 62.11 deg, rel. 25.8, (4 2 2)

Structure:
abc: 10.3362 10.3362 6.3793
angles: 90.00 90.00 120.00
Space group R3m (No. 160, hexagonal axes)
One atom of each set of equivalent atoms:
Ac (0.1868, 0.3737, 0.0000) [9 per cell]
Pr (0.0000, 0.0000, 0.7480) [3 per cell]
Ir (0.1706, 0.3412, 0.5195) [9 per cell]

---

(6)
The following is a calculated X-ray diffraction stick pattern of AcPr2Ir. It was derived from a structure optimized by DFT (PBE), using Cu Kα (λ = 1.5418 Å).

Principal peaks in the range 2θ = 5–70°, sorted by position:
- 17.33 deg, rel. 36.5, (0 2 0)
- 28.49 deg, rel. 39.0, (2 1 1)
- 29.38 deg, rel. 85.2, (0 3 1)
- 30.46 deg, rel. 100.0, (1 1 2)
- 31.72 deg, rel. 47.2, (1 3 1)
- 32.35 deg, rel. 58.8, (2 2 1)

Structure:
abc: 7.554 10.235 6.704
angles: 90.00 90.00 90.00
Space group Pnma (No. 62)
One atom of each set of equivalent atoms:
Ac (0.039, 0.250, 0.147) [4 per cell]
Pr (0.173, 0.070, 0.671) [8 per cell]
Ir (0.120, 0.750, 0.425) [4 per cell]

---

(7)
The following is a calculated X-ray diffraction stick pattern of AcPrZnIr. It was derived from a structure optimized by DFT (PBE), using Cu Kα (λ = 1.5418 Å).

Principal peaks in the range 2θ = 5–70°, sorted by position:
- 29.88 deg, rel. 100.0, (1 1 1)
- 32.12 deg, rel. 48.8, (0 1 3)
- 37.84 deg, rel. 65.7, (1 1 3)
- 37.98 deg, rel. 28.7, (1 0 4)
- 39.52 deg, rel. 30.3, (2 0 0)
- 51.81 deg, rel. 26.0, (2 1 3)

Structure:
abc: 4.561 4.240 11.091
angles: 90.00 90.00 90.00
Space group Amm2 (No. 38)
One atom of each set of equivalent atoms:
Ac (0.000, 0.000, 0.000) [2 per cell]
Pr (0.500, 0.000, 0.720) [2 per cell]
Zn (0.500, 0.000, 0.420) [2 per cell]
Ir (0.000, 0.000, 0.290) [2 per cell]

---

(8)
The following is a calculated X-ray diffraction stick pattern of Ac8IrPt4. It was derived from a structure optimized by DFT (PBE), using Cu Kα (λ = 1.5418 Å).

Principal peaks in the range 2θ = 5–70°, sorted by position:
- 28.88 deg, rel. 100.0, (0 2 4)
- 40.95 deg, rel. 39.7, (2 2 0)
- 41.65 deg, rel. 37.4, (2 0 8)
- 50.88 deg, rel. 21.2, (4 0 4)
- 67.28 deg, rel. 18.4, (2 4 4)
- 68.28 deg, rel. 17.2, (2 2 12)

Structure:
abc: 8.8165 8.8165 21.0779
angles: 90.00 90.00 120.00
Space group R-3m (No. 166, hexagonal axes)
One atom of each set of equivalent atoms:
Ac (0.0000, 0.0000, 0.2433) [6 per cell]
Ac (0.0110, 0.5055, 0.7519) [18 per cell]
Ir (0.0000, 0.0000, 0.0000) [3 per cell]
Pt (0.0000, 0.0000, 0.5000) [3 per cell]
Pt (0.0000, 0.5000, 0.5000) [9 per cell]

---

(9)
The following is a calculated X-ray diffraction stick pattern of Ac6Ir4Pt. It was derived from a structure optimized by DFT (PBE), using Cu Kα (λ = 1.5418 Å).

Principal peaks in the range 2θ = 5–70°, sorted by position:
- 29.51 deg, rel. 33.6, (2 2 -1)
- 31.08 deg, rel. 48.7, (0 0 3)
- 31.32 deg, rel. 100.0, (2 2 0)
- 36.25 deg, rel. 94.1, (2 2 -3)
- 37.67 deg, rel. 40.2, (0 2 3)
- 42.30 deg, rel. 34.1, (0 4 0)

Structure:
abc: 8.575 8.547 9.632
angles: 90.00 116.34 90.00
Space group Cm (No. 8)
One atom of each set of equivalent atoms:
Ac (0.000, 0.000, 0.000) [2 per cell]
Ac (0.017, 0.500, 0.000) [2 per cell]
Ac (0.116, 0.242, 0.713) [4 per cell]
Ac (0.188, 0.250, 0.357) [4 per cell]
Ir (0.298, 0.238, 0.079) [4 per cell]
Ir (0.315, 0.500, 0.634) [2 per cell]
Ir (0.338, 0.000, 0.634) [2 per cell]
Pt (0.437, 0.000, 0.356) [2 per cell]

---

(10)
The following is a calculated X-ray diffraction stick pattern of Ac8Ir2Pt3. It was derived from a structure optimized by DFT (PBE), using Cu Kα (λ = 1.5418 Å).

Principal peaks in the range 2θ = 5–70°, sorted by position:
- 12.60 deg, rel. 19.8, (0 0 1)
- 24.73 deg, rel. 12.7, (4 0 0)
- 28.81 deg, rel. 100.0, (2 2 1)
- 40.80 deg, rel. 40.3, (6 2 -1)
- 41.59 deg, rel. 35.3, (4 0 2)
- 50.71 deg, rel. 21.1, (8 0 0)

Structure:
abc: 15.304 8.859 7.470
angles: 90.00 109.83 90.00
Space group C2/m (No. 12)
One atom of each set of equivalent atoms:
Ac (0.120, 0.000, 0.239) [4 per cell]
Ac (0.125, 0.500, 0.217) [4 per cell]
Ac (0.131, 0.238, 0.769) [8 per cell]
Ir (0.247, 0.500, 0.985) [4 per cell]
Pt (0.000, 0.000, 0.500) [2 per cell]
Pt (0.000, 0.251, 0.000) [4 per cell]

---

(11)
The following is a calculated X-ray diffraction stick pattern of Ac8IrPt6. It was derived from a structure optimized by DFT (PBE), using Cu Kα (λ = 1.5418 Å).

Principal peaks in the range 2θ = 5–70°, sorted by position:
- 27.07 deg, rel. 61.3, (2 0 1)
- 30.61 deg, rel. 28.4, (3 0 0)
- 32.43 deg, rel. 100.0, (3 -2 1)
- 35.93 deg, rel. 31.5, (0 0 2)
- 36.99 deg, rel. 26.8, (3 1 0)
- 41.31 deg, rel. 40.5, (1 3 1)

Structure:
abc: 10.1170 10.1170 4.9985
angles: 90.00 90.00 120.00
Space group P-3 (No. 147)
One atom of each set of equivalent atoms:
Ac (0.0580, 0.7571, 0.2521) [6 per cell]
Ac (0.3333, 0.6667, 0.7513) [2 per cell]
Ir (0.0000, 0.0000, 0.5000) [1 per cell]
Pt (0.0522, 0.4535, 0.2515) [6 per cell]

---

(12)
The following is a calculated X-ray diffraction stick pattern of Ac8Ir5Pt. It was derived from a structure optimized by DFT (PBE), using Cu Kα (λ = 1.5418 Å).

Principal peaks in the range 2θ = 5–70°, sorted by position:
- 30.21 deg, rel. 100.0, (3 1 0)
- 30.36 deg, rel. 48.9, (1 0 3)
- 35.94 deg, rel. 53.4, (2 3 1)
- 36.04 deg, rel. 24.1, (1 2 3)
- 49.82 deg, rel. 28.2, (1 3 4)
- 61.08 deg, rel. 24.4, (6 1 1)

Structure:
abc: 9.358 9.358 9.305
angles: 90.00 90.00 90.00
Space group I-4 (No. 82)
One atom of each set of equivalent atoms:
Ac (0.060, 0.308, 0.068) [8 per cell]
Ac (0.061, 0.186, 0.684) [8 per cell]
Ir (0.000, 0.000, 0.000) [2 per cell]
Ir (0.128, 0.248, 0.376) [8 per cell]
Pt (0.000, 0.500, 0.750) [2 per cell]